Diffraction record for LiNiPO4. The X-ray diffraction stick pattern is calculated, not measured: it uses a PBE+U-relaxed structure and CuKα.
Lines closer than 0.1° are merged.

Peak list (6 most intense, 5° ≤ 2θ ≤ 70°, low angle first)
d (Å)	two_theta	I/Imax
4.410	20.14	100
3.571	24.93	37
2.934	30.46	48
2.639	33.97	89
2.503	35.88	45
1.721	53.23	43

Structural model:
a b c (Å): 7.254 5.438 6.226
angles (deg): 76.58 46.82 56.60
Fractional positions:
1 Li 0.000 0.000 0.000
2 Li 0.250 0.250 0.250
3 Ni 0.625 0.625 0.375
4 Ni 0.875 0.875 0.625
5 P 0.309 0.309 0.691
6 P 0.559 0.559 0.941
7 O 0.109 0.315 0.033
8 O 0.192 0.639 0.645
9 O 0.217 0.707 0.141
10 O 0.315 0.109 0.543
11 O 0.605 0.727 0.058
12 O 0.639 0.192 0.523
13 O 0.707 0.217 0.935
14 O 0.727 0.605 0.611